For Nd3Sc2Ge4, DFT lattice parameters and positions (GGA-PBE) gives the computed X-ray powder pattern in this record (Cu Kα X-rays).
Lines closer than 0.1° are merged.

Structure:
```
Nd3Sc2Ge4
1.0
6.2127 -2.0994 0.0000
6.2127 2.0994 0.0000
-3.4411 0.0000 8.4322
Nd Sc Ge
3 2 4
Direct
0.0000 0.0000 0.0000
0.3855 0.3855 0.2978
0.6145 0.6145 0.7022
0.3152 0.3152 0.6479
0.6848 0.6848 0.3521
0.0798 0.0798 0.4246
0.2849 0.2849 0.9334
0.7151 0.7151 0.0666
0.9202 0.9202 0.5754
```

Top 12 peaks for 10° ≤ 2θ ≤ 90°, by angle:
2θ (°), I/Imax
15.01, 23
29.64, 36
30.35, 100
31.60, 73
31.84, 34
33.05, 92
36.63, 26
38.31, 44
43.10, 51
44.32, 35
45.89, 30
63.53, 24